# Ac3SmCo2
Simulated XRD peak list, Cu Kα. Input: a cell relaxed with PBE.
Lines closer than 0.1° are merged.

The 10 most intense peaks (10 to 90 degrees two-theta), by angle:
| two_theta | I_rel | (hkl) |
| --- | --- | --- |
| 13.71 | 14.2 | 2 0 -2 |
| 26.25 | 100.0 | 3 1 -1 |
| 27.63 | 28.0 | 4 0 -4 |
| 30.70 | 83.8 | 1 1 -3 |
| 31.03 | 40.5 | 6 0 -2 |
| 43.07 | 18.2 | 0 2 0 |
| 43.31 | 33.0 | 5 1 1 |
| 45.11 | 27.8 | 7 1 -5 |
| 51.94 | 20.5 | 4 2 -4 |
| 54.03 | 17.2 | 6 2 -2 |

Crystal structure
Cell lengths 17.570, 4.200, 13.162 Å; angles 90.00, 126.20, 90.00 degrees
Space group C2/m (No. 12)
One atom of each set of equivalent atoms:
Ac  0.062  0.000  0.194
Ac  0.181  0.000  0.553
Ac  0.190  0.500  0.057
Sm  0.059  0.500  0.700
Co  0.123  0.000  0.871
Co  0.125  0.500  0.374